[1]
For V12Sn3Sb, the GGA-PBE geometry in Alexandria gives the calculated X-ray powder pattern in this record (a wavelength of 1.5418 Å).
Lines closer than 0.1° are merged.

Top 6 peaks for 2θ from 10° to 90°, sorted by position:
2theta, Rel. int., h k l
25.4, 38, 1 0 2
36.2, 31, 2 0 0
40.7, 29, 0 2 2
44.8, 100, 2 1 2
71.1, 33, 3 1 4
71.3, 17, 1 2 6

Unit cell a=4.9613 b=4.9620 c=9.8888 alpha=90.00 beta=90.00 gamma=90.00
Space group Pmmm (No. 47)
Inequivalent atoms, fractional coordinates:
V (0.0000, 0.0000, 0.1239) [2 per cell]
V (0.0000, 0.0000, 0.3759) [2 per cell]
V (0.2521, 0.5000, 0.0000) [2 per cell]
V (0.2546, 0.5000, 0.5000) [2 per cell]
V (0.5000, 0.2496, 0.2515) [4 per cell]
Sn (0.0000, 0.5000, 0.2502) [2 per cell]
Sn (0.5000, 0.0000, 0.0000) [1 per cell]
Sb (0.5000, 0.0000, 0.5000) [1 per cell]

[2]
For VSnSb2, the GGA-PBE geometry in Alexandria gives the calculated X-ray powder pattern in this record (a wavelength of 1.5418 Å).
Lines closer than 0.1° are merged.

Top 6 peaks for 2θ from 10° to 90°, sorted by position:
2theta, Rel. int., h k l
32.1, 100, 1 2 -1
34.9, 59, 1 0 1
36.3, 37, 1 1 1
40.1, 23, 0 2 2
40.5, 22, 1 2 1
47.6, 21, 2 0 -1

Unit cell a=3.8226 b=8.8769 c=5.5590 alpha=90.00 beta=110.02 gamma=90.00
Space group P2_1/m (No. 11)
Inequivalent atoms, fractional coordinates:
V (0.2248, 0.2500, 0.4494) [2 per cell]
Sn (0.0654, 0.7500, 0.1299) [2 per cell]
Sb (0.3614, 0.5356, 0.7240) [4 per cell]

[3]
For Y4Sn2Sb, the GGA-PBE geometry in Alexandria gives the calculated X-ray powder pattern in this record (a wavelength of 1.5418 Å).
Lines closer than 0.1° are merged.

Top 6 peaks for 2θ from 10° to 90°, sorted by position:
2theta, Rel. int., h k l
30.5, 100, 3 1 0
36.3, 64, 3 1 2
43.7, 18, 4 2 0
50.2, 19, 4 3 1
61.7, 28, 1 1 6
75.3, 19, 2 1 7

Unit cell a=9.2689 b=9.2689 c=9.2762 alpha=90.00 beta=90.00 gamma=90.00
Space group I-42d (No. 122)
Inequivalent atoms, fractional coordinates:
Y (0.0722, 0.1790, 0.3043) [16 per cell]
Sn (0.1258, 0.2500, 0.6250) [8 per cell]
Sb (0.0000, 0.0000, 0.0000) [4 per cell]

[4]
For Y7Sn2Sb2, the GGA-PBE geometry in Alexandria gives the calculated X-ray powder pattern in this record (a wavelength of 1.5418 Å).
Lines closer than 0.1° are merged.

Top 6 peaks for 2θ from 10° to 90°, sorted by position:
2theta, Rel. int., h k l
20.3, 36, 0 2 1
23.8, 64, 2 0 1
27.9, 33, 1 1 2
32.6, 57, 0 4 0
36.2, 100, 2 2 2
36.4, 37, 1 3 2

Unit cell a=8.7314 b=10.9974 c=7.2243 alpha=90.00 beta=90.00 gamma=90.00
Space group Cmmm (No. 65)
Inequivalent atoms, fractional coordinates:
Y (0.0000, 0.0000, 0.0000) [2 per cell]
Y (0.0000, 0.5000, 0.2642) [4 per cell]
Y (0.2500, 0.2500, 0.2770) [8 per cell]
Sn (0.1807, 0.0000, 0.5000) [4 per cell]
Sb (0.0000, 0.2791, 0.0000) [4 per cell]